SmGdAg2: theoretical PXRD pattern (copper Kα), based on DFT lattice parameters and positions (GGA-PBE).
No peak broadening, texture or thermal motion is included.

Largest 6 diffraction maxima, by angle, 2θ = 10–90°:
d/Å  2theta  Rel. int.
3.689  24.12  2.6
2.609  34.38  100.0
1.845  49.41  17.6
1.506  61.57  35.9
1.304  72.46  11.0
1.167  82.72  15.6

Structure:
Cell: 5.217 5.217 5.217 Å, 60.00 60.00 60.00°
Fractional positions:
Sm (0.000, 0.000, 0.000)
Gd (0.500, 0.500, 0.500)
Ag (0.250, 0.250, 0.250)
Ag (0.750, 0.750, 0.750)